1.
Starting from a crystal structure in Alexandria, relaxed with GGA-PBE, the powder XRD pattern of UZnHg was simulated for Cu Kα (weighted mean of Kα1 and Kα2).
No peak broadening, texture or thermal motion is included.

Peak list (10 most intense, 10 to 90 degrees two-theta, in order of rising 2θ)
two_theta	I_rel
20.7	29
36.2	89
36.7	100
52.6	36
62.4	6
65.2	17
65.5	38
74.3	23
76.9	11
88.4	19

Structure:
a b c (Å): 4.9577 4.9577 2.9777
angles (deg): 90.00 90.00 120.00
Space group P-6m2 (No. 187)
Inequivalent atoms, fractional coordinates:
U 0.0000 0.0000 0.0000
Zn 0.3333 0.6667 0.5000
Hg 0.6667 0.3333 0.5000

=====

2.
Starting from a crystal structure in Alexandria, relaxed with GGA-PBE, the powder XRD pattern of AcLaPr5Er2 was simulated for Cu Kα (weighted mean of Kα1 and Kα2).
No peak broadening, texture or thermal motion is included.

Peak list (10 most intense, 10 to 90 degrees two-theta, in order of rising 2θ)
two_theta	I_rel
26.6	25
28.6	29
28.8	27
30.5	100
31.4	77
31.6	97
32.1	65
43.1	38
55.4	19
56.1	19

Structure:
a b c (Å): 5.691 24.260 9.679
angles (deg): 90.00 90.00 90.00
Space group Cmc2_1 (No. 36)
Inequivalent atoms, fractional coordinates:
Ac 0.000 0.103 0.000
La 0.000 0.270 0.609
Pr 0.000 0.025 0.330
Pr 0.000 0.104 0.611
Pr 0.000 0.186 0.307
Pr 0.000 0.240 0.926
Pr 0.000 0.494 0.112
Er 0.000 0.328 0.242
Er 0.000 0.388 0.874

=====

3.
Starting from a crystal structure in Alexandria, relaxed with GGA-PBE, the powder XRD pattern of YAg2AuO4 was simulated for Cu Kα (weighted mean of Kα1 and Kα2).
No peak broadening, texture or thermal motion is included.

Peak list (10 most intense, 10 to 90 degrees two-theta, in order of rising 2θ)
two_theta	I_rel
20.1	13
29.5	64
34.8	100
42.2	34
55.8	55
61.3	11
65.5	14
69.5	13
73.4	12
87.6	14

Structure:
a b c (Å): 6.051 6.051 6.466
angles (deg): 90.00 90.00 90.00
Space group I-4 (No. 82)
Inequivalent atoms, fractional coordinates:
Y 0.000 0.000 0.000
Ag 0.000 0.000 0.500
Ag 0.000 0.500 0.250
Au 0.000 0.500 0.750
O 0.176 0.790 0.769

=====

4.
Starting from a crystal structure in Alexandria, relaxed with GGA-PBE, the powder XRD pattern of La3Pr3Tm2 was simulated for Cu Kα (weighted mean of Kα1 and Kα2).
No peak broadening, texture or thermal motion is included.

Peak list (10 most intense, 10 to 90 degrees two-theta, in order of rising 2θ)
two_theta	I_rel
29.3	42
30.6	60
30.9	100
31.0	100
33.6	36
42.8	15
42.9	15
45.7	17
54.5	30
56.0	19

Structure:
a b c (Å): 5.851 6.100 8.985
angles (deg): 109.58 108.99 90.09
Space group P-1 (No. 2)
Inequivalent atoms, fractional coordinates:
La 0.000 0.000 0.000
La 0.136 0.581 0.271
Pr 0.363 0.809 0.726
Pr 0.500 0.500 0.000
Tm 0.251 0.183 0.502